No. 1
For Tb12NiRh6, a PBE-relaxed structure gives the computed powder X-ray diffraction pattern in this record (copper Kα).
Lines closer than 0.1° are merged.

Atomic structure:
```
data_Tb12NiRh6
_cell_length_a 8.1327
_cell_length_b 8.1327
_cell_length_c 8.1327
_cell_angle_alpha 99.88
_cell_angle_beta 99.88
_cell_angle_gamma 99.88
_space_group_name_H-M_alt 'P 1'
_space_group_IT_number 1
loop_
_space_group_symop_operation_xyz
'x,y,z'
loop_
_atom_site_label
_atom_site_fract_x
_atom_site_fract_y
_atom_site_fract_z
Tb1 0.0463 0.9214 0.6793
Tb2 0.0786 0.3207 0.9537
Tb3 0.1767 0.5773 0.4179
Tb4 0.3207 0.9537 0.0786
Tb5 0.4179 0.1767 0.5773
Tb6 0.4227 0.5821 0.8233
Tb7 0.5773 0.4179 0.1767
Tb8 0.5821 0.8234 0.4227
Tb9 0.6793 0.0463 0.9214
Tb10 0.8233 0.4227 0.5821
Tb11 0.9214 0.6793 0.0463
Tb12 0.9537 0.0786 0.3207
Ni1 0.0000 0.0000 0.0000
Rh1 0.1334 0.3063 0.6182
Rh2 0.3063 0.6182 0.1334
Rh3 0.3818 0.8666 0.6937
Rh4 0.6182 0.1334 0.3063
Rh5 0.6937 0.3818 0.8666
Rh6 0.8666 0.6937 0.3818
```

Largest 8 diffraction maxima, low angle first, 2θ = 15–90°:
two_theta  I (rel.)
23.18  42.0
26.88  75.0
28.68  23.3
32.45  42.1
33.84  54.1
38.26  100.0
38.51  81.7
55.41  23.6

No. 2
For Y2NpCr2C4, a PBE-relaxed structure gives the computed powder X-ray diffraction pattern in this record (copper Kα).
Lines closer than 0.1° are merged.

Atomic structure:
```
data_Y2NpCr2C4
_cell_length_a 6.6307
_cell_length_b 6.6307
_cell_length_c 5.9984
_cell_angle_alpha 108.68
_cell_angle_beta 108.68
_cell_angle_gamma 29.41
_space_group_name_H-M_alt 'P 1'
_space_group_IT_number 1
loop_
_space_group_symop_operation_xyz
'x,y,z'
loop_
_atom_site_label
_atom_site_fract_x
_atom_site_fract_y
_atom_site_fract_z
Y1 0.1363 0.1363 0.0431
Y2 0.8637 0.8637 0.9569
Np1 0.0000 0.0000 0.5000
Cr1 0.3198 0.3198 0.5083
Cr2 0.6802 0.6802 0.4917
C1 0.2198 0.2198 0.7025
C2 0.4665 0.4665 0.7461
C3 0.5335 0.5335 0.2539
C4 0.7802 0.7802 0.2975
```

Largest 8 diffraction maxima, low angle first, 2θ = 15–90°:
two_theta  I (rel.)
15.66  50.8
24.84  32.5
27.50  76.0
28.47  59.3
31.61  67.8
34.97  100.0
40.40  53.0
41.37  81.8

No. 3
For NaLiRh, a PBE-relaxed structure gives the computed powder X-ray diffraction pattern in this record (copper Kα).
Lines closer than 0.1° are merged.

Atomic structure:
```
data_NaLiRh
_cell_length_a 4.5829
_cell_length_b 4.8386
_cell_length_c 5.4480
_cell_angle_alpha 63.90
_cell_angle_beta 89.58
_cell_angle_gamma 89.09
_space_group_name_H-M_alt 'P 1'
_space_group_IT_number 1
loop_
_space_group_symop_operation_xyz
'x,y,z'
loop_
_atom_site_label
_atom_site_fract_x
_atom_site_fract_y
_atom_site_fract_z
Na1 0.0000 0.0000 0.0000
Na2 0.0010 0.3371 0.3236
Li1 0.5015 0.1760 0.6459
Li2 0.5005 0.5119 0.9772
Rh1 0.4985 0.7762 0.4443
Rh2 0.9984 0.6840 0.6317
```

Largest 8 diffraction maxima, low angle first, 2θ = 15–90°:
two_theta  I (rel.)
18.13  53.0
20.48  100.0
26.65  15.3
37.17  25.1
38.44  14.7
38.56  14.8
39.32  21.4
41.86  14.5

Copy entry 1 word for word.
For Tb12NiRh6, a PBE-relaxed structure gives the computed powder X-ray diffraction pattern in this record (copper Kα).
Lines closer than 0.1° are merged.

Atomic structure:
```
data_Tb12NiRh6
_cell_length_a 8.1327
_cell_length_b 8.1327
_cell_length_c 8.1327
_cell_angle_alpha 99.88
_cell_angle_beta 99.88
_cell_angle_gamma 99.88
_space_group_name_H-M_alt 'P 1'
_space_group_IT_number 1
loop_
_space_group_symop_operation_xyz
'x,y,z'
loop_
_atom_site_label
_atom_site_fract_x
_atom_site_fract_y
_atom_site_fract_z
Tb1 0.0463 0.9214 0.6793
Tb2 0.0786 0.3207 0.9537
Tb3 0.1767 0.5773 0.4179
Tb4 0.3207 0.9537 0.0786
Tb5 0.4179 0.1767 0.5773
Tb6 0.4227 0.5821 0.8233
Tb7 0.5773 0.4179 0.1767
Tb8 0.5821 0.8234 0.4227
Tb9 0.6793 0.0463 0.9214
Tb10 0.8233 0.4227 0.5821
Tb11 0.9214 0.6793 0.0463
Tb12 0.9537 0.0786 0.3207
Ni1 0.0000 0.0000 0.0000
Rh1 0.1334 0.3063 0.6182
Rh2 0.3063 0.6182 0.1334
Rh3 0.3818 0.8666 0.6937
Rh4 0.6182 0.1334 0.3063
Rh5 0.6937 0.3818 0.8666
Rh6 0.8666 0.6937 0.3818
```

Largest 8 diffraction maxima, low angle first, 2θ = 15–90°:
two_theta  I (rel.)
23.18  42.0
26.88  75.0
28.68  23.3
32.45  42.1
33.84  54.1
38.26  100.0
38.51  81.7
55.41  23.6

> What is the formula in the first record?

Tb12NiRh6